(1)
Structure and calculated powder diffraction line list of NdZnCu2Ni2 (the GGA-PBE geometry in OQMD; λ = 1.5418 Å (Cu Kα)).

Cell and atoms:
```
NdZnCu2Ni2
1.0
2.5701 -4.3935 0.0000
2.5701 4.3935 0.0000
0.0000 0.0000 4.0347
Nd Zn Cu Ni
1 1 2 2
Direct
0.0000 0.0000 0.0000 Nd
0.5000 0.5000 0.5000 Zn
0.3279 0.6721 0.0000 Cu
0.6721 0.3279 0.0000 Cu
0.0000 0.5000 0.5000 Ni
0.5000 0.0000 0.5000 Ni
```

Main lines, in order of rising 2θ (10° ≤ 2θ ≤ 80°):
d 2.985, 29.9 deg, intensity 46; d 2.545, 35.3 deg, intensity 29; d 2.218, 40.7 deg, intensity 32; d 2.197, 41.1 deg, intensity 18; d 2.168, 41.7 deg, intensity 48; d 2.152, 42.0 deg, intensity 100; d 2.017, 44.9 deg, intensity 38; d 1.389, 67.4 deg, intensity 23

(2)
Structure and calculated powder diffraction line list of NdZn2Cu2Ni (the GGA-PBE geometry in OQMD; λ = 1.5418 Å (Cu Kα)).

Cell and atoms:
```
NdZn2Cu2Ni
1.0
2.6284 -4.4109 0.0000
2.6284 4.4109 0.0000
0.0000 0.0000 4.1251
Nd Zn Cu Ni
1 2 2 1
Direct
0.0000 0.0000 0.0000 Nd
0.0000 0.5000 0.5000 Zn
0.5000 0.0000 0.5000 Zn
0.3410 0.6590 0.0000 Cu
0.6590 0.3410 0.0000 Cu
0.5000 0.5000 0.5000 Ni
```

Main lines, in order of rising 2θ (10° ≤ 2θ ≤ 80°):
d 3.046, 29.3 deg, intensity 39; d 3.013, 29.7 deg, intensity 28; d 2.566, 35.0 deg, intensity 31; d 2.258, 39.9 deg, intensity 40; d 2.217, 40.7 deg, intensity 57; d 2.179, 41.4 deg, intensity 100; d 2.063, 43.9 deg, intensity 42; d 1.414, 66.1 deg, intensity 24

(3)
Structure and calculated powder diffraction line list of NdSmCu2Pb (the GGA-PBE geometry in OQMD; λ = 1.5418 Å (Cu Kα)).

Cell and atoms:
```
NdSmCu2Pb
1.0
3.7445 0.0000 0.0000
0.0000 2.1734 7.1449
0.0000 -2.1734 7.1449
Nd Sm Cu Pb
1 1 2 1
Direct
0.0000 0.0000 0.0000 Nd
0.0000 0.2650 0.2650 Sm
0.5000 0.4263 0.4263 Cu
0.5000 0.8356 0.8356 Cu
0.5000 0.6335 0.6335 Pb
```

Main lines, in order of rising 2θ (10° ≤ 2θ ≤ 80°):
d 3.211, 27.8 deg, intensity 42; d 2.783, 32.2 deg, intensity 100; d 2.585, 34.7 deg, intensity 64; d 2.388, 37.7 deg, intensity 41; d 2.173, 41.6 deg, intensity 26; d 1.872, 48.6 deg, intensity 16; d 1.663, 55.2 deg, intensity 34; d 1.473, 63.1 deg, intensity 21

(4)
Structure and calculated powder diffraction line list of NdCuTe3Pb (the GGA-PBE geometry in OQMD; λ = 1.5418 Å (Cu Kα)).

Cell and atoms:
```
NdCuTe3Pb
1.0
2.1730 -7.3322 0.0000
2.1730 7.3322 0.0000
0.0000 0.0000 11.5794
Nd Cu Te Pb
2 2 6 2
Direct
0.0000 0.0000 0.0000 Nd
0.0000 0.0000 0.5000 Nd
0.4690 0.5310 0.7500 Cu
0.5310 0.4690 0.2500 Cu
0.0825 0.9175 0.7500 Te
0.3538 0.6462 0.5716 Te
0.3538 0.6462 0.9284 Te
0.6462 0.3538 0.0716 Te
0.6462 0.3538 0.4284 Te
0.9175 0.0825 0.2500 Te
0.2387 0.7613 0.2500 Pb
0.7613 0.2387 0.7500 Pb
```

Main lines, in order of rising 2θ (10° ≤ 2θ ≤ 80°):
d 3.415, 26.1 deg, intensity 26; d 3.127, 28.5 deg, intensity 83; d 2.895, 30.9 deg, intensity 25; d 2.832, 31.6 deg, intensity 100; d 2.252, 40.0 deg, intensity 30; d 2.173, 41.6 deg, intensity 29; d 1.886, 48.3 deg, intensity 29; d 1.350, 69.7 deg, intensity 27

(5)
Structure and calculated powder diffraction line list of Pr2NdCu2Si4Pd2 (the GGA-PBE geometry in OQMD; λ = 1.5418 Å (Cu Kα)).

Cell and atoms:
```
Pr2NdCu2Si4Pd2
1.0
-2.0722 2.1100 12.2361
2.0722 -2.1100 12.2361
2.0722 2.1100 -12.2361
Pr Nd Cu Si Pd
2 1 2 4 2
Direct
0.1520 0.1520 0.0000 Pr
0.8480 0.8480 0.0000 Pr
0.5000 0.0000 0.5000 Nd
0.2506 0.7506 0.5000 Cu
0.7494 0.2494 0.5000 Cu
0.0484 0.5484 0.5000 Si
0.3022 0.3022 0.0000 Si
0.6978 0.6978 0.0000 Si
0.9516 0.4516 0.5000 Si
0.4026 0.4026 0.0000 Pd
0.5974 0.5974 0.0000 Pd
```

Main lines, in order of rising 2θ (10° ≤ 2θ ≤ 80°):
d 3.748, 23.7 deg, intensity 20; d 3.163, 28.2 deg, intensity 18; d 2.672, 33.5 deg, intensity 35; d 2.662, 33.7 deg, intensity 100; d 2.286, 39.4 deg, intensity 22; d 2.110, 42.9 deg, intensity 22; d 2.072, 43.7 deg, intensity 21; d 1.656, 55.5 deg, intensity 17

(6)
Structure and calculated powder diffraction line list of NdCu2Pd2Pt (the GGA-PBE geometry in OQMD; λ = 1.5418 Å (Cu Kα)).

Cell and atoms:
```
NdCu2Pd2Pt
1.0
2.7037 -4.7067 0.0000
2.7037 4.7067 0.0000
0.0000 0.0000 4.1030
Nd Cu Pd Pt
1 2 2 1
Direct
0.0000 0.0000 0.0000 Nd
0.3338 0.6662 0.0000 Cu
0.6662 0.3338 0.0000 Cu
0.0000 0.5000 0.5000 Pd
0.5000 0.0000 0.5000 Pd
0.5000 0.5000 0.5000 Pt
```

Main lines, in order of rising 2θ (10° ≤ 2θ ≤ 80°):
d 3.088, 28.9 deg, intensity 79; d 2.353, 38.2 deg, intensity 29; d 2.344, 38.4 deg, intensity 58; d 2.264, 39.8 deg, intensity 100; d 2.052, 44.1 deg, intensity 39; d 2.036, 44.5 deg, intensity 36; d 1.544, 59.9 deg, intensity 32; d 1.461, 63.7 deg, intensity 25

(7)
Structure and calculated powder diffraction line list of Pr2NdCu2Si4Pt2 (the GGA-PBE geometry in OQMD; λ = 1.5418 Å (Cu Kα)).

Cell and atoms:
```
Pr2NdCu2Si4Pt2
1.0
-2.0964 2.0974 12.1894
2.0964 -2.0974 12.1894
2.0964 2.0974 -12.1894
Pr Nd Cu Si Pt
2 1 2 4 2
Direct
0.1513 0.1513 0.0000 Pr
0.8487 0.8487 0.0000 Pr
0.5000 0.0000 0.5000 Nd
0.2507 0.7507 0.5000 Cu
0.7493 0.2493 0.5000 Cu
0.0494 0.5494 0.5000 Si
0.3029 0.3029 0.0000 Si
0.6971 0.6971 0.0000 Si
0.9506 0.4506 0.5000 Si
0.4030 0.4030 0.0000 Pt
0.5970 0.5970 0.0000 Pt
```

Main lines, in order of rising 2θ (10° ≤ 2θ ≤ 80°):
d 4.134, 21.5 deg, intensity 17; d 3.179, 28.1 deg, intensity 33; d 2.679, 33.4 deg, intensity 39; d 2.667, 33.6 deg, intensity 100; d 2.275, 39.6 deg, intensity 25; d 2.097, 43.1 deg, intensity 44; d 1.960, 46.3 deg, intensity 20; d 1.651, 55.7 deg, intensity 18

(8)
Structure and calculated powder diffraction line list of PrNd2Cu2Si4Pt2 (the GGA-PBE geometry in OQMD; λ = 1.5418 Å (Cu Kα)).

Cell and atoms:
```
PrNd2Cu2Si4Pt2
1.0
-2.0773 2.1032 12.0843
2.0773 -2.1032 12.0843
2.0773 2.1032 -12.0843
Pr Nd Cu Si Pt
1 2 2 4 2
Direct
0.0000 0.0000 0.0000 Pr
0.1456 0.6456 0.5000 Nd
0.8544 0.3544 0.5000 Nd
0.4039 0.9039 0.5000 Cu
0.5961 0.0961 0.5000 Cu
0.3064 0.8064 0.5000 Si
0.4503 0.4503 0.0000 Si
0.5497 0.5497 0.0000 Si
0.6936 0.1936 0.5000 Si
0.2487 0.2487 0.0000 Pt
0.7513 0.7513 0.0000 Pt
```

Main lines, in order of rising 2θ (10° ≤ 2θ ≤ 80°):
d 3.693, 24.1 deg, intensity 11; d 3.021, 29.6 deg, intensity 15; d 2.669, 33.6 deg, intensity 18; d 2.655, 33.8 deg, intensity 100; d 2.383, 37.7 deg, intensity 12; d 2.103, 43.0 deg, intensity 18; d 2.077, 43.6 deg, intensity 17; d 1.478, 62.9 deg, intensity 11